Record 1
Sr2Ac3Cd3: simulated X-ray diffraction stick pattern (Cu Kα (weighted mean of Kα1 and Kα2)), based on a DFT-relaxed cell (PBE, Alexandria).
No peak broadening, texture or thermal motion is included.

Peak list (12 most intense, 2θ from 15° to 90°, in order of rising 2θ)
2θ (°)	I_rel	index
23.4	13	0 1 5
28.7	20	0 0 8
30.1	100	1 1 4
30.2	28	0 2 0
34.2	15	1 1 6
42.2	14	0 2 8
43.9	10	2 0 0
51.7	9	1 1 12
53.6	20	1 3 4
54.3	11	2 2 0
58.7	12	1 1 14
62.5	9	2 2 8

Structure:
```
data_Sr2Ac3Cd3
_chemical_formula_sum 'Sr4 Ac6 Cd6'
_space_group_name_H-M_alt 'I m m m'
_space_group_IT_number 71
_space_group_name_Hall '-I 2 2'
_cell_length_a 4.1206
_cell_length_b 5.9177
_cell_length_c 24.8816
_cell_angle_alpha 90.00
_cell_angle_beta 90.00
_cell_angle_gamma 90.00
loop_
_atom_site_label
_atom_site_type_symbol
_atom_site_fract_x
_atom_site_fract_y
_atom_site_fract_z
_atom_site_occupancy
Sr1 Sr 0.0000 0.0000 0.2234 1
Ac1 Ac 0.0000 0.0000 0.0000 1
Ac2 Ac 0.0000 0.5000 0.1145 1
Cd1 Cd 0.0000 0.0000 0.5000 1
Cd2 Cd 0.0000 0.5000 0.3872 1
```


Record 2
Sr2Ac2Cd3: simulated X-ray diffraction stick pattern (Cu Kα (weighted mean of Kα1 and Kα2)), based on a DFT-relaxed cell (PBE, Alexandria).
No peak broadening, texture or thermal motion is included.

Peak list (12 most intense, 2θ from 15° to 90°, in order of rising 2θ)
2θ (°)	I_rel	index
21.9	19	1 1 1
23.9	19	2 0 1
31.2	100	2 0 2
31.3	100	0 2 0
32.8	17	3 1 -2
44.8	37	2 2 2
55.4	19	1 1 5
55.6	52	3 3 -1
65.0	12	4 0 4
65.3	12	0 4 0
74.0	11	2 4 2
74.1	11	5 3 1

Structure:
```
data_Sr2Ac2Cd3
_chemical_formula_sum 'Sr4 Ac4 Cd6'
_space_group_name_H-M_alt 'C 1 2/m 1'
_space_group_IT_number 12
_space_group_name_Hall '-C 2y'
_cell_length_a 9.8964
_cell_length_b 5.7185
_cell_length_c 9.9471
_cell_angle_alpha 90.00
_cell_angle_beta 109.30
_cell_angle_gamma 90.00
loop_
_atom_site_label
_atom_site_type_symbol
_atom_site_fract_x
_atom_site_fract_y
_atom_site_fract_z
_atom_site_occupancy
Sr1 Sr 0.1262 0.0000 0.3785 1
Ac1 Ac 0.1236 0.5000 0.8710 1
Cd1 Cd 0.0000 0.0000 0.0000 1
Cd2 Cd 0.2475 0.5000 0.2424 1
```